Record 1
Diffraction record for PaIF4. The powder XRD pattern is theoretical, not measured: it uses DFT lattice parameters and positions (PBE) and a wavelength of 1.5418 Å.
Lines closer than 0.1° are merged.

Crystal structure
```
data_PaIF4
_cell_length_a 8.0678
_cell_length_b 3.5783
_cell_length_c 8.1727
_cell_angle_alpha 90.00
_cell_angle_beta 90.00
_cell_angle_gamma 90.00
_space_group_name_H-M_alt 'P m m a'
_space_group_IT_number 51
loop_
_space_group_symop_operation_xyz
'x,y,z'
'-x,-y,-z'
'-x+1/2,-y,z'
'x+1/2,y,-z'
'x+1/2,-y,-z'
'-x+1/2,y,z'
'-x,y,-z'
'x,-y,z'
loop_
_atom_site_label
_atom_site_type_symbol
_atom_site_fract_x
_atom_site_fract_y
_atom_site_fract_z
Pa1 Pa 0.2500 0.0000 0.1366
I1 I 0.2500 0.0000 0.5185
F1 F 0.0000 0.0000 0.0000
F2 F 0.0923 0.5000 0.2226
F3 F 0.2500 0.5000 0.9555
```

Largest 10 diffraction maxima, by angle, 2θ from 5° to 70°:
| d_spacing | I_rel | hkl |
| --- | --- | --- |
| 5.742 | 100.0 | 1 0 1 |
| 4.034 | 83.8 | 2 0 0 |
| 3.645 | 71.9 | 1 0 2 |
| 3.578 | 53.4 | 0 1 0 |
| 3.037 | 28.5 | 1 1 1 |
| 2.677 | 56.1 | 2 1 0 |
| 2.554 | 66.0 | 1 1 2 |
| 2.258 | 30.7 | 2 0 3 |
| 1.909 | 47.1 | 2 1 3 |
| 1.903 | 29.6 | 3 1 2 |


Record 2
Diffraction record for Ga2BiSb2. The powder XRD pattern is theoretical, not measured: it uses DFT lattice parameters and positions (PBE) and a wavelength of 1.5418 Å.
Lines closer than 0.1° are merged.

Crystal structure
```
data_Ga2BiSb2
_cell_length_a 4.1091
_cell_length_b 4.1091
_cell_length_c 15.5413
_cell_angle_alpha 90.00
_cell_angle_beta 90.00
_cell_angle_gamma 90.00
_space_group_name_H-M_alt 'I 4/m m m'
_space_group_IT_number 139
_space_group_name_Hall '-I 4 2'
loop_
_atom_site_label
_atom_site_type_symbol
_atom_site_fract_x
_atom_site_fract_y
_atom_site_fract_z
Ga1 Ga 0.0000 0.5000 0.2500
Bi1 Bi 0.0000 0.0000 0.0000
Sb1 Sb 0.0000 0.0000 0.3846
```

Largest 10 diffraction maxima, by angle, 2θ from 5° to 70°:
| d_spacing | I_rel | hkl |
| --- | --- | --- |
| 3.219 | 100.0 | 1 0 3 |
| 2.906 | 29.3 | 1 1 0 |
| 2.722 | 79.6 | 1 1 2 |
| 2.479 | 74.3 | 1 0 5 |
| 2.055 | 43.0 | 2 0 0 |
| 1.943 | 16.5 | 0 0 8 |
| 1.732 | 34.0 | 2 1 3 |
| 1.582 | 37.6 | 2 1 5 |
| 1.412 | 23.1 | 2 0 8 |
| 1.370 | 15.7 | 1 1 10 |


Record 3
Diffraction record for BeMo2. The powder XRD pattern is theoretical, not measured: it uses DFT lattice parameters and positions (PBE) and a wavelength of 1.5418 Å.
Lines closer than 0.1° are merged.

Crystal structure
```
data_BeMo2
_cell_length_a 5.7456
_cell_length_b 5.7456
_cell_length_c 4.7739
_cell_angle_alpha 90.00
_cell_angle_beta 90.00
_cell_angle_gamma 90.00
_space_group_name_H-M_alt 'I 4/m c m'
_space_group_IT_number 140
_space_group_name_Hall '-I 4 2c'
loop_
_atom_site_label
_atom_site_type_symbol
_atom_site_fract_x
_atom_site_fract_y
_atom_site_fract_z
Be1 Be 0.0000 0.0000 0.2500
Mo1 Mo 0.1675 0.3325 0.0000
```

Largest 10 diffraction maxima, by angle, 2θ from 5° to 70°:
| d_spacing | I_rel | hkl |
| --- | --- | --- |
| 4.063 | 9.5 | 1 1 0 |
| 2.873 | 20.3 | 2 0 0 |
| 2.387 | 24.7 | 0 0 2 |
| 2.263 | 100.0 | 2 1 1 |
| 2.058 | 5.1 | 1 1 2 |
| 2.031 | 2.7 | 2 2 0 |
| 1.836 | 13.4 | 2 0 2 |
| 1.817 | 12.3 | 3 1 0 |
| 1.446 | 8.9 | 3 1 2 |
| 1.353 | 26.3 | 3 3 0 |


Record 4
Diffraction record for Na8B11C5. The powder XRD pattern is theoretical, not measured: it uses DFT lattice parameters and positions (PBE) and a wavelength of 1.5418 Å.
Lines closer than 0.1° are merged.

Crystal structure
```
data_Na8B11C5
_cell_length_a 5.0398
_cell_length_b 2.8663
_cell_length_c 17.1195
_cell_angle_alpha 90.00
_cell_angle_beta 90.01
_cell_angle_gamma 90.00
_space_group_name_H-M_alt 'P 1 m 1'
_space_group_IT_number 6
loop_
_space_group_symop_operation_xyz
'x,y,z'
'x,-y,z'
loop_
_atom_site_label
_atom_site_type_symbol
_atom_site_fract_x
_atom_site_fract_y
_atom_site_fract_z
Na1 Na 0.0000 0.0000 0.0000
Na2 Na 0.0010 0.0000 0.2460
Na3 Na 0.0040 0.0000 0.7543
Na4 Na 0.4957 0.5000 0.7543
Na5 Na 0.4994 0.5000 0.2449
Na6 Na 0.5001 0.5000 0.9999
Na7 Na 0.5043 0.5000 0.4989
Na8 Na 0.9976 0.0000 0.4975
B1 B 0.1636 0.5000 0.6192
B2 B 0.1683 0.5000 0.8776
B3 B 0.1786 0.5000 0.3713
B4 B 0.3315 0.0000 0.1227
B5 B 0.3349 0.0000 0.6191
B6 B 0.6389 0.0000 0.3714
B7 B 0.6635 0.0000 0.6334
B8 B 0.6688 0.0000 0.8775
B9 B 0.8316 0.5000 0.1227
B10 B 0.8347 0.5000 0.6335
B11 B 0.8455 0.5000 0.3716
C1 C 0.1655 0.5000 0.1227
C2 C 0.3343 0.0000 0.3710
C3 C 0.3344 0.0000 0.8775
C4 C 0.6657 0.0000 0.1227
C5 C 0.8344 0.5000 0.8778
```

Largest 10 diffraction maxima, by angle, 2θ from 5° to 70°:
| d_spacing | I_rel | hkl |
| --- | --- | --- |
| 17.119 | 5.3 | 0 0 1 |
| 2.520 | 9.8 | 2 0 0 |
| 2.492 | 17.8 | 1 1 0 |
| 2.171 | 49.6 | 2 0 -4 |
| 2.153 | 100.0 | 1 1 4 |
| 2.140 | 36.9 | 0 0 8 |
| 1.631 | 5.3 | 2 0 8 |
| 1.623 | 9.8 | 1 1 -8 |
| 1.449 | 17.6 | 3 1 0 |
| 1.433 | 8.5 | 0 2 0 |


Record 5
Diffraction record for Na5MgTl8. The powder XRD pattern is theoretical, not measured: it uses DFT lattice parameters and positions (PBE) and a wavelength of 1.5418 Å.
Lines closer than 0.1° are merged.

Crystal structure
```
data_Na5MgTl8
_cell_length_a 9.0425
_cell_length_b 9.0425
_cell_length_c 10.0771
_cell_angle_alpha 90.00
_cell_angle_beta 90.00
_cell_angle_gamma 90.00
_space_group_name_H-M_alt 'I -4'
_space_group_IT_number 82
loop_
_space_group_symop_operation_xyz
'x,y,z'
'y,-x,-z'
'-x,-y,z'
'-y,x,-z'
'x+1/2,y+1/2,z+1/2'
'y+1/2,-x+1/2,-z+1/2'
'-x+1/2,-y+1/2,z+1/2'
'-y+1/2,x+1/2,-z+1/2'
loop_
_atom_site_label
_atom_site_type_symbol
_atom_site_fract_x
_atom_site_fract_y
_atom_site_fract_z
Na1 Na 0.0000 0.0000 0.0000
Na2 Na 0.1275 0.2782 0.6804
Mg1 Mg 0.0000 0.5000 0.2500
Tl1 Tl 0.0769 0.1800 0.3592
Tl2 Tl 0.0855 0.3371 0.0001
```

Largest 10 diffraction maxima, by angle, 2θ from 5° to 70°:
| d_spacing | I_rel | hkl |
| --- | --- | --- |
| 6.730 | 34.2 | 1 0 1 |
| 3.957 | 41.4 | 1 1 2 |
| 3.753 | 100.0 | 1 2 1 |
| 3.149 | 49.3 | 1 0 3 |
| 2.888 | 52.6 | 3 0 1 |
| 2.859 | 57.3 | 1 3 0 |
| 2.584 | 93.5 | 2 1 3 |
| 2.487 | 58.2 | 1 3 2 |
| 2.434 | 71.1 | 3 2 1 |
| 1.577 | 41.0 | 2 4 4 |


Record 6
Diffraction record for HfH2OsPd. The powder XRD pattern is theoretical, not measured: it uses DFT lattice parameters and positions (PBE) and a wavelength of 1.5418 Å.
Lines closer than 0.1° are merged.

Crystal structure
```
data_HfH2OsPd
_cell_length_a 3.6921
_cell_length_b 3.6921
_cell_length_c 5.2379
_cell_angle_alpha 90.00
_cell_angle_beta 90.00
_cell_angle_gamma 90.00
_space_group_name_H-M_alt 'P 4/m m m'
_space_group_IT_number 123
_space_group_name_Hall '-P 4 2'
loop_
_atom_site_label
_atom_site_type_symbol
_atom_site_fract_x
_atom_site_fract_y
_atom_site_fract_z
Hf1 Hf 0.0000 0.0000 0.0000
H1 H 0.0000 0.5000 0.0000
Os1 Os 0.5000 0.5000 0.5000
Pd1 Pd 0.0000 0.0000 0.5000
```

Largest 10 diffraction maxima, by angle, 2θ from 5° to 70°:
| d_spacing | I_rel | hkl |
| --- | --- | --- |
| 5.238 | 16.0 | 0 0 1 |
| 3.692 | 10.2 | 1 0 0 |
| 3.018 | 78.3 | 1 0 1 |
| 2.619 | 47.1 | 0 0 2 |
| 2.611 | 91.0 | 1 1 0 |
| 2.337 | 9.0 | 1 1 1 |
| 1.848 | 100.0 | 2 0 0 |
| 1.578 | 12.0 | 1 0 3 |
| 1.575 | 23.9 | 2 1 1 |
| 1.509 | 34.8 | 2 0 2 |


Record 7
Diffraction record for Li17Ac2Zn3. The powder XRD pattern is theoretical, not measured: it uses DFT lattice parameters and positions (PBE) and a wavelength of 1.5418 Å.
Lines closer than 0.1° are merged.

Crystal structure
```
data_Li17Ac2Zn3
_cell_length_a 10.6652
_cell_length_b 10.6652
_cell_length_c 15.3110
_cell_angle_alpha 90.00
_cell_angle_beta 90.00
_cell_angle_gamma 120.00
_space_group_name_H-M_alt 'R -3 m'
_space_group_IT_number 166
_space_group_name_Hall '-R 3 2"'
loop_
_atom_site_label
_atom_site_type_symbol
_atom_site_fract_x
_atom_site_fract_y
_atom_site_fract_z
Li1 Li 0.0000 0.0000 0.0941
Li2 Li 0.0000 0.2632 0.0000
Li3 Li 0.0000 0.5000 0.5000
Li4 Li 0.0096 0.5048 0.1706
Ac1 Ac 0.0000 0.0000 0.3318
Zn1 Zn 0.0000 0.5000 0.0000
```

Largest 10 diffraction maxima, by angle, 2θ from 5° to 70°:
| d_spacing | I_rel | hkl |
| --- | --- | --- |
| 7.909 | 100.0 | 1 0 1 |
| 5.894 | 58.8 | 0 1 2 |
| 5.333 | 70.4 | 1 1 0 |
| 5.104 | 72.0 | 0 0 3 |
| 3.687 | 66.8 | 1 1 3 |
| 3.404 | 33.1 | 2 1 1 |
| 2.666 | 52.6 | 2 2 0 |
| 2.636 | 32.7 | 3 0 3 |
| 2.363 | 54.6 | 2 2 3 |
| 1.844 | 33.7 | 2 2 6 |


Record 8
Diffraction record for MgZrTl2In. The powder XRD pattern is theoretical, not measured: it uses DFT lattice parameters and positions (PBE) and a wavelength of 1.5418 Å.
Lines closer than 0.1° are merged.

Crystal structure
```
data_MgZrTl2In
_cell_length_a 5.2360
_cell_length_b 5.2360
_cell_length_c 5.2408
_cell_angle_alpha 90.00
_cell_angle_beta 90.00
_cell_angle_gamma 90.00
_space_group_name_H-M_alt 'P 4/m m m'
_space_group_IT_number 123
_space_group_name_Hall '-P 4 2'
loop_
_atom_site_label
_atom_site_type_symbol
_atom_site_fract_x
_atom_site_fract_y
_atom_site_fract_z
Mg1 Mg 0.0000 0.0000 0.0000
Zr1 Zr 0.5000 0.5000 0.5000
Tl1 Tl 0.0000 0.5000 0.0000
In1 In 0.0000 0.0000 0.5000
```

Largest 10 diffraction maxima, by angle, 2θ from 5° to 70°:
| d_spacing | I_rel | hkl |
| --- | --- | --- |
| 5.240 | 13.6 | 0 0 1 |
| 3.702 | 6.1 | 1 1 0 |
| 3.024 | 100.0 | 1 1 1 |
| 2.619 | 60.4 | 2 0 0 |
| 2.342 | 7.5 | 2 0 1 |
| 2.139 | 3.1 | 1 1 2 |
| 1.852 | 43.5 | 2 2 0 |
| 1.746 | 4.0 | 2 2 1 |
| 1.579 | 44.0 | 3 1 1 |
| 1.512 | 15.0 | 2 2 2 |


Record 9
Diffraction record for Sc2Zn5Ag2Au3. The powder XRD pattern is theoretical, not measured: it uses DFT lattice parameters and positions (PBE) and a wavelength of 1.5418 Å.
Lines closer than 0.1° are merged.

Crystal structure
```
data_Sc2Zn5Ag2Au3
_cell_length_a 3.7240
_cell_length_b 3.7240
_cell_length_c 31.5067
_cell_angle_alpha 90.00
_cell_angle_beta 90.00
_cell_angle_gamma 90.00
_space_group_name_H-M_alt 'I 4/m m m'
_space_group_IT_number 139
_space_group_name_Hall '-I 4 2'
loop_
_atom_site_label
_atom_site_type_symbol
_atom_site_fract_x
_atom_site_fract_y
_atom_site_fract_z
Sc1 Sc 0.0000 0.0000 0.2199
Zn1 Zn 0.0000 0.0000 0.0000
Zn2 Zn 0.0000 0.5000 0.0688
Ag1 Ag 0.0000 0.0000 0.1303
Au1 Au 0.0000 0.0000 0.3179
Au2 Au 0.0000 0.0000 0.5000
```

Largest 10 diffraction maxima, by angle, 2θ from 5° to 70°:
| d_spacing | I_rel | hkl |
| --- | --- | --- |
| 15.753 | 22.8 | 0 0 2 |
| 5.251 | 32.0 | 0 0 6 |
| 3.206 | 84.6 | 1 0 5 |
| 2.633 | 45.4 | 1 1 0 |
| 2.354 | 100.0 | 1 1 6 |
| 2.270 | 80.6 | 1 0 11 |
| 2.020 | 22.4 | 1 1 10 |
| 1.862 | 53.8 | 2 0 0 |
| 1.610 | 23.7 | 2 1 5 |
| 1.440 | 37.7 | 2 1 11 |


Record 10
Diffraction record for TmSc4In5. The powder XRD pattern is theoretical, not measured: it uses DFT lattice parameters and positions (PBE) and a wavelength of 1.5418 Å.
Lines closer than 0.1° are merged.

Crystal structure
```
data_TmSc4In5
_cell_length_a 3.2282
_cell_length_b 3.2282
_cell_length_c 22.1300
_cell_angle_alpha 90.00
_cell_angle_beta 90.00
_cell_angle_gamma 90.00
_space_group_name_H-M_alt 'P 4/m m m'
_space_group_IT_number 123
_space_group_name_Hall '-P 4 2'
loop_
_atom_site_label
_atom_site_type_symbol
_atom_site_fract_x
_atom_site_fract_y
_atom_site_fract_z
Tm1 Tm 0.0000 0.0000 0.0000
Sc1 Sc 0.0000 0.0000 0.2045
Sc2 Sc 0.0000 0.0000 0.4015
In1 In 0.5000 0.5000 0.1058
In2 In 0.5000 0.5000 0.3030
In3 In 0.5000 0.5000 0.5000
```

Largest 10 diffraction maxima, by angle, 2θ from 5° to 70°:
| d_spacing | I_rel | hkl |
| --- | --- | --- |
| 11.065 | 9.1 | 0 0 2 |
| 4.426 | 5.9 | 0 0 5 |
| 3.228 | 5.8 | 1 0 0 |
| 2.788 | 4.0 | 1 0 4 |
| 2.608 | 100.0 | 1 0 5 |
| 2.283 | 34.3 | 1 1 0 |
| 2.213 | 14.8 | 0 0 10 |
| 1.614 | 11.2 | 2 0 0 |
| 1.589 | 20.2 | 1 1 10 |
| 1.373 | 25.3 | 2 1 5 |


Record 11
Diffraction record for Cs4AgBr7. The powder XRD pattern is theoretical, not measured: it uses DFT lattice parameters and positions (PBE) and a wavelength of 1.5418 Å.
Lines closer than 0.1° are merged.

Crystal structure
```
data_Cs4AgBr7
_cell_length_a 18.9879
_cell_length_b 5.5289
_cell_length_c 12.1626
_cell_angle_alpha 90.00
_cell_angle_beta 119.07
_cell_angle_gamma 90.00
_space_group_name_H-M_alt 'C 1 2/m 1'
_space_group_IT_number 12
loop_
_space_group_symop_operation_xyz
'x,y,z'
'-x,-y,-z'
'-x,y,-z'
'x,-y,z'
'x+1/2,y+1/2,z'
'-x+1/2,-y+1/2,-z'
'-x+1/2,y+1/2,-z'
'x+1/2,-y+1/2,z'
loop_
_atom_site_label
_atom_site_type_symbol
_atom_site_fract_x
_atom_site_fract_y
_atom_site_fract_z
Cs1 Cs 0.0469 0.0000 0.2310
Cs2 Cs 0.2151 0.0000 0.8057
Ag1 Ag 0.0000 0.5000 0.5000
Br1 Br 0.0000 0.0000 0.5000
Br2 Br 0.0668 0.5000 0.7397
Br3 Br 0.1485 0.0000 0.0507
Br4 Br 0.2436 0.5000 0.4910
```

Largest 10 diffraction maxima, by angle, 2θ from 5° to 70°:
| d_spacing | I_rel | hkl |
| --- | --- | --- |
| 4.157 | 87.3 | 4 0 0 |
| 3.736 | 96.1 | 4 0 -3 |
| 3.352 | 39.2 | 4 0 1 |
| 3.319 | 100.0 | 3 1 1 |
| 2.881 | 47.4 | 5 1 -3 |
| 2.764 | 81.0 | 0 2 0 |
| 2.658 | 39.6 | 0 0 4 |
| 2.359 | 50.3 | 8 0 -2 |
| 2.222 | 45.9 | 4 2 -3 |
| 1.795 | 40.8 | 8 2 -2 |


Record 12
Diffraction record for Nd2Sm4Tm3. The powder XRD pattern is theoretical, not measured: it uses DFT lattice parameters and positions (PBE) and a wavelength of 1.5418 Å.
Lines closer than 0.1° are merged.

Crystal structure
```
data_Nd2Sm4Tm3
_cell_length_a 16.2558
_cell_length_b 11.7578
_cell_length_c 6.2025
_cell_angle_alpha 90.00
_cell_angle_beta 96.06
_cell_angle_gamma 90.00
_space_group_name_H-M_alt 'C 1 2/c 1'
_space_group_IT_number 15
loop_
_space_group_symop_operation_xyz
'x,y,z'
'-x,-y,-z'
'-x,y,-z+1/2'
'x,-y,z+1/2'
'x+1/2,y+1/2,z'
'-x+1/2,-y+1/2,-z'
'-x+1/2,y+1/2,-z+1/2'
'x+1/2,-y+1/2,z+1/2'
loop_
_atom_site_label
_atom_site_type_symbol
_atom_site_fract_x
_atom_site_fract_y
_atom_site_fract_z
Nd1 Nd 0.1194 0.1426 0.3201
Sm1 Sm 0.0479 0.3592 0.0135
Sm2 Sm 0.2149 0.1404 0.8470
Tm1 Tm 0.0000 0.0997 0.7500
Tm2 Tm 0.1662 0.4008 0.5856
```

Largest 10 diffraction maxima, by angle, 2θ from 5° to 70°:
| d_spacing | I_rel | hkl |
| --- | --- | --- |
| 2.988 | 62.5 | 1 1 -2 |
| 2.939 | 47.7 | 0 4 0 |
| 2.904 | 59.2 | 5 1 -1 |
| 2.829 | 100.0 | 4 2 1 |
| 2.426 | 32.9 | 1 3 -2 |
| 2.380 | 28.2 | 5 3 -1 |
| 1.834 | 14.2 | 3 1 3 |
| 1.776 | 13.3 | 9 1 0 |
| 1.655 | 21.5 | 6 2 -3 |
| 1.414 | 12.9 | 8 4 2 |


Record 13
Diffraction record for PuCdPb6. The powder XRD pattern is theoretical, not measured: it uses DFT lattice parameters and positions (PBE) and a wavelength of 1.5418 Å.
Lines closer than 0.1° are merged.

Crystal structure
```
data_PuCdPb6
_cell_length_a 7.2035
_cell_length_b 11.3976
_cell_length_c 5.7674
_cell_angle_alpha 90.00
_cell_angle_beta 90.00
_cell_angle_gamma 90.00
_space_group_name_H-M_alt 'C m m m'
_space_group_IT_number 65
_space_group_name_Hall '-C 2 2'
loop_
_atom_site_label
_atom_site_type_symbol
_atom_site_fract_x
_atom_site_fract_y
_atom_site_fract_z
Pu1 Pu 0.0000 0.0000 0.0000
Cd1 Cd 0.0000 0.5000 0.0000
Pb1 Pb 0.0000 0.2325 0.5000
Pb2 Pb 0.2334 0.5000 0.5000
Pb3 Pb 0.2500 0.2500 0.0000
```

Largest 10 diffraction maxima, by angle, 2θ from 5° to 70°:
| d_spacing | I_rel | hkl |
| --- | --- | --- |
| 2.884 | 30.7 | 0 0 2 |
| 2.849 | 28.3 | 0 4 0 |
| 2.692 | 100.0 | 2 2 1 |
| 2.027 | 21.8 | 0 4 2 |
| 1.801 | 7.6 | 4 0 0 |
| 1.626 | 22.5 | 2 2 3 |
| 1.613 | 19.9 | 2 6 1 |
| 1.527 | 9.0 | 4 0 2 |
| 1.522 | 8.5 | 4 4 0 |
| 1.346 | 11.5 | 4 4 2 |